[1]
Starting from a crystal structure in Alexandria, relaxed with PBE, the powder X-ray diffraction pattern of As2PbSe4 was calculated for CuKα.

Structure:
```
14
Lattice="4.653 -7.447 0.000 4.653 7.447 0.000 -4.120 0.000 5.944" Properties=species:S:1:pos:R:3 pbc="T T T"
As 2.593 6.965 2.972
As 4.609 3.886 2.545
As 2.549 -3.886 5.517
As 4.653 -6.965 0.000
Pb 1.063 2.142 4.792
Pb 3.123 -2.142 1.820
Se 2.224 4.545 2.739
Se 3.001 1.581 0.656
Se 5.281 4.648 0.293
Se 0.941 -1.581 3.628
Se 0.164 -4.545 5.711
Se 4.876 0.018 3.517
Se 6.936 -0.018 0.545
Se 3.221 -4.648 3.265
```

Largest 8 diffraction maxima, by angle, 5 to 70 degrees two-theta:
d 4.646, 19.10°, rel. 100; d 4.164, 21.34°, rel. 70; d 2.996, 29.82°, rel. 65; d 2.875, 31.11°, rel. 76; d 2.776, 32.25°, rel. 50; d 2.742, 32.66°, rel. 44; d 2.463, 36.48°, rel. 46; d 2.324, 38.75°, rel. 42

---

[2]
Starting from a crystal structure in Alexandria, relaxed with PBE, the powder X-ray diffraction pattern of AsPb2Se was calculated for CuKα.

Structure:
```
4
Lattice="4.373 0.000 0.000 0.000 2.085 6.294 0.000 -2.085 6.294" Properties=species:S:1:pos:R:3 pbc="T T T"
As 0.000 0.000 0.000
Pb 0.000 0.000 2.981
Pb 2.187 0.000 6.580
Se 2.187 0.000 9.454
```

Largest 8 diffraction maxima, by angle, 5 to 70 degrees two-theta:
d 3.591, 24.79°, rel. 25; d 3.147, 28.36°, rel. 45; d 2.957, 30.22°, rel. 18; d 2.934, 30.46°, rel. 100; d 2.450, 36.68°, rel. 28; d 2.187, 41.29°, rel. 19; d 1.933, 47.00°, rel. 43; d 1.796, 50.85°, rel. 18

---

[3]
Starting from a crystal structure in Alexandria, relaxed with PBE, the powder X-ray diffraction pattern of Tm4AsPb2Se was calculated for CuKα.

Structure:
```
8
Lattice="6.898 0.000 0.000 0.000 4.011 0.000 -2.336 0.000 7.601" Properties=species:S:1:pos:R:3 pbc="T T T"
Tm 1.120 0.000 1.629
Tm -0.060 2.006 5.950
Tm 4.622 2.006 1.651
Tm 3.442 0.000 5.973
As 0.000 2.006 0.000
Pb -1.168 0.000 3.801
Pb 2.281 2.006 3.801
Se 3.449 0.000 0.000
```

Largest 8 diffraction maxima, by angle, 5 to 70 degrees two-theta:
d 2.959, 30.21°, rel. 100; d 2.205, 40.94°, rel. 26; d 2.192, 41.18°, rel. 13; d 2.006, 45.21°, rel. 12; d 1.995, 45.47°, rel. 23; d 1.660, 55.35°, rel. 12; d 1.479, 62.81°, rel. 11; d 1.379, 67.97°, rel. 9

---

[4]
Starting from a crystal structure in Alexandria, relaxed with PBE, the powder X-ray diffraction pattern of Y4AsPb2Se was calculated for CuKα.

Structure:
```
8
Lattice="7.033 0.000 0.000 0.000 4.073 0.000 -2.358 0.000 7.672" Properties=species:S:1:pos:R:3 pbc="T T T"
Y 1.145 0.000 1.655
Y -0.038 2.037 5.993
Y 4.713 2.037 1.679
Y 3.529 0.000 6.017
As 0.000 2.037 0.000
Pb -1.179 0.000 3.836
Pb 2.337 2.037 3.836
Se 3.516 0.000 0.000
```

Largest 8 diffraction maxima, by angle, 5 to 70 degrees two-theta:
d 3.481, 25.59°, rel. 13; d 3.004, 29.74°, rel. 100; d 2.797, 32.00°, rel. 14; d 2.228, 40.49°, rel. 40; d 2.037, 44.48°, rel. 11; d 2.032, 44.60°, rel. 23; d 1.686, 54.43°, rel. 12; d 1.502, 61.76°, rel. 11